Diffraction record for Th8OsRu2. The X-ray powder pattern is simulated, not measured: it uses the PBE geometry in Alexandria and a wavelength of 1.5418 Å.

Largest 10 diffraction maxima, by intensity, 10° ≤ 2θ ≤ 90°:
2theta  I (rel.)
30.6  100
33.7  78
36.7  59
30.7  57
29.0  56
34.2  48
36.2  42
33.5  37
51.2  31
26.5  30

Atomic structure:
```
11
Lattice="4.0127 -6.7426 0.0000 4.0127 6.7426 0.0000 -2.5488 0.0000 5.7866" Properties=species:S:1:pos:R:3 pbc="T T T"
Th 0.0000 0.0000 0.0000
Th 2.2424 2.7209 1.0043
Th 3.5652 5.0384 3.2196
Th 2.6860 1.7689 4.5885
Th 2.2424 -2.7209 1.0043
Th 4.6786 0.0000 2.0763
Th 2.6860 -1.7689 4.5885
Th 3.5652 -5.0384 3.2196
Os 1.8342 0.0000 2.3191
Ru 1.1778 4.0965 3.8802
Ru 1.1778 -4.0965 3.8802
```

Diffraction record for LiErPa2Se4. The X-ray powder pattern is simulated, not measured: it uses the PBE geometry in Alexandria and a wavelength of 1.5418 Å.

Largest 10 diffraction maxima, by intensity, 10° ≤ 2θ ≤ 90°:
2theta  I (rel.)
31.6  100
43.3  41
47.2  22
12.4  19
27.0  14
28.0  14
57.8  12
72.1  12
47.1  11
34.0  11

Atomic structure:
```
8
Lattice="6.6619 0.0000 0.0000 0.0000 3.8613 0.0000 -2.2158 0.0000 7.1433" Properties=species:S:1:pos:R:3 pbc="T T T"
Li 0.0000 0.0000 0.0000
Er 3.3309 1.9307 0.0000
Pa -1.1079 1.9307 3.5716
Pa 2.2230 0.0000 3.5716
Se 1.0679 1.9307 1.6500
Se -0.0577 0.0000 5.4773
Se 4.5038 0.0000 1.6660
Se 3.3782 1.9307 5.4932
```

Diffraction record for Th3Cd. The X-ray powder pattern is simulated, not measured: it uses the PBE geometry in Alexandria and a wavelength of 1.5418 Å.

Largest 10 diffraction maxima, by intensity, 10° ≤ 2θ ≤ 90°:
2theta  I (rel.)
31.3  100
31.6  99
35.2  74
53.6  45
61.1  31
60.5  30
39.1  28
66.0  24
87.4  23
51.0  13

Atomic structure:
```
4
Lattice="3.5818 0.0000 0.0000 0.0000 4.6115 0.0000 0.0000 0.0000 7.2747" Properties=species:S:1:pos:R:3 pbc="T T T"
Th 0.0000 0.0000 0.0000
Th 1.7909 2.3058 1.9030
Th 1.7909 2.3058 5.3717
Cd 0.0000 0.0000 3.6374
```

Diffraction record for Tl8S4Cl. The X-ray powder pattern is simulated, not measured: it uses the PBE geometry in Alexandria and a wavelength of 1.5418 Å.

Largest 10 diffraction maxima, by intensity, 10° ≤ 2θ ≤ 90°:
2theta  I (rel.)
24.6  100
28.4  70
40.6  53
48.0  41
37.2  17
66.6  17
50.3  16
12.2  14
64.7  14
73.9  13

Atomic structure:
```
13
Lattice="0.0000 6.2803 6.2803 6.2803 0.0000 6.2803 6.2803 6.2803 0.0000" Properties=species:S:1:pos:R:3 pbc="T T T"
Tl 7.9749 4.5857 4.5857
Tl 1.3805 1.3805 1.3805
Tl 4.8998 4.8998 1.3805
Tl 4.8998 1.3805 4.8998
Tl 4.5857 7.9749 4.5857
Tl 4.5857 4.5857 7.9749
Tl 7.9749 7.9749 7.9749
Tl 1.3805 4.8998 4.8998
S 10.9166 7.9244 7.9244
S 7.9244 10.9166 7.9244
S 7.9244 7.9244 10.9166
S 10.9166 10.9166 10.9166
Cl 3.1402 3.1402 3.1402
```

Diffraction record for Cs2K2Na2Au. The X-ray powder pattern is simulated, not measured: it uses the PBE geometry in Alexandria and a wavelength of 1.5418 Å.

Largest 10 diffraction maxima, by intensity, 10° ≤ 2θ ≤ 90°:
2theta  I (rel.)
11.8  100
23.6  70
23.7  21
26.5  20
26.4  19
22.1  18
36.2  17
29.7  16
16.8  15
33.7  14

Atomic structure:
```
7
Lattice="5.0623 0.0000 0.0000 2.5100 8.0478 0.0000 0.0012 4.0675 10.5467" Properties=species:S:1:pos:R:3 pbc="T T T"
Cs 1.2556 4.7453 2.3154
Cs 6.3180 7.3700 8.2313
K 3.7763 8.4569 4.0455
K 3.7972 3.6584 6.5012
Na 3.7837 10.9822 9.8375
Na 3.7898 1.1332 0.7092
Au 3.7862 4.0239 0.0000
```

Diffraction record for Ac2AlCu3. The X-ray powder pattern is simulated, not measured: it uses the PBE geometry in Alexandria and a wavelength of 1.5418 Å.

Largest 10 diffraction maxima, by intensity, 10° ≤ 2θ ≤ 90°:
2theta  I (rel.)
31.5  100
35.8  27
26.8  23
27.0  21
46.0  21
35.6  20
23.0  18
41.5  17
42.1  17
55.9  15

Atomic structure:
```
12
Lattice="4.2892 0.0000 0.0000 0.0000 4.3474 0.0000 0.0000 0.0000 15.4863" Properties=species:S:1:pos:R:3 pbc="T T T"
Ac 0.0000 0.0000 0.0000
Ac 0.0000 2.1737 3.6874
Ac 2.1446 0.0000 11.4305
Ac 2.1446 2.1737 7.7432
Al 0.0000 0.0000 6.3006
Al 2.1446 2.1737 14.0438
Cu 0.0000 0.0000 8.8968
Cu 0.0000 2.1737 10.2428
Cu 0.0000 2.1737 12.7990
Cu 2.1446 0.0000 2.4996
Cu 2.1446 0.0000 5.0559
Cu 2.1446 2.1737 1.1537
```

Diffraction record for Nd2Sm3Dy8. The X-ray powder pattern is simulated, not measured: it uses the PBE geometry in Alexandria and a wavelength of 1.5418 Å.

Largest 10 diffraction maxima, by intensity, 10° ≤ 2θ ≤ 90°:
2theta  I (rel.)
30.6  100
35.4  68
51.0  48
60.6  43
30.5  33
85.7  15
60.6  14
83.1  14
83.0  10
63.6  8

Atomic structure:
```
13
Lattice="6.2051 0.0000 0.0000 1.0340 6.1256 0.0000 2.0722 -0.3390 11.1239" Properties=species:S:1:pos:R:3 pbc="T T T"
Nd 1.0375 1.4011 0.4286
Nd 8.2737 4.3855 10.6953
Sm 3.1030 3.1529 4.7050
Sm 4.1386 -0.1695 5.5620
Sm 6.2083 2.6337 6.4189
Dy 1.0315 0.3507 3.8512
Dy 3.1030 2.1052 8.1275
Dy 3.1091 4.2026 1.2898
Dy 5.1769 4.9054 8.9779
Dy 4.1343 0.8812 2.1460
Dy 6.2021 1.5840 9.8341
Dy 6.2082 3.6814 2.9964
Dy 8.2798 5.4359 7.2727
```

Diffraction record for Sc2Al4Ni. The X-ray powder pattern is simulated, not measured: it uses the PBE geometry in Alexandria and a wavelength of 1.5418 Å.

Largest 10 diffraction maxima, by intensity, 10° ≤ 2θ ≤ 90°:
2theta  I (rel.)
41.4  100
29.0  96
37.1  88
27.5  84
12.2  80
56.8  79
38.2  35
72.6  33
47.7  33
60.0  31

Atomic structure:
```
14
Lattice="4.3613 0.0000 0.0000 0.0000 4.3613 0.0000 0.0000 0.0000 14.5641" Properties=species:S:1:pos:R:3 pbc="T T T"
Sc 0.0000 0.0000 2.1609
Sc 0.0000 0.0000 12.4033
Sc 2.1807 2.1807 5.1212
Sc 2.1807 2.1807 9.4429
Al 0.0000 0.0000 4.9583
Al 0.0000 0.0000 9.6058
Al 0.0000 2.1807 0.0000
Al 0.0000 2.1807 7.2821
Al 2.1807 0.0000 0.0000
Al 2.1807 0.0000 7.2821
Al 2.1807 2.1807 2.3238
Al 2.1807 2.1807 12.2404
Ni 0.0000 0.0000 7.2821
Ni 2.1807 2.1807 0.0000
```

Diffraction record for NpPa2Ru. The X-ray powder pattern is simulated, not measured: it uses the PBE geometry in Alexandria and a wavelength of 1.5418 Å.

Largest 10 diffraction maxima, by intensity, 10° ≤ 2θ ≤ 90°:
2theta  I (rel.)
36.5  100
36.4  51
65.5  37
52.4  18
88.5  18
65.7  18
77.5  11
28.6  9
52.7  8
89.0  7

Atomic structure:
```
4
Lattice="3.4952 0.0000 0.0000 0.0000 3.4952 0.0000 0.0000 0.0000 6.9492" Properties=species:S:1:pos:R:3 pbc="T T T"
Np 0.0000 0.0000 0.0000
Pa 1.7476 1.7476 1.8359
Pa 1.7476 1.7476 5.1133
Ru 0.0000 0.0000 3.4746
```

Diffraction record for CdBRh3. The X-ray powder pattern is simulated, not measured: it uses the PBE geometry in Alexandria and a wavelength of 1.5418 Å.

Largest 10 diffraction maxima, by intensity, 10° ≤ 2θ ≤ 90°:
2theta  I (rel.)
37.4  100
38.2  94
43.8  69
64.0  41
44.2  32
75.8  24
77.2  23
62.7  12
79.8  11
64.6  11

Atomic structure:
```
10
Lattice="5.7671 0.0000 0.0000 0.0000 2.9652 0.0000 -2.8765 0.0000 8.1975" Properties=species:S:1:pos:R:3 pbc="T T T"
Cd -0.6953 0.7413 3.0062
Cd 3.5859 2.2239 5.1912
B 2.1182 0.7413 1.1448
B 0.7724 2.2239 7.0526
Rh 0.6655 2.2239 0.9925
Rh -0.7209 0.7413 7.1397
Rh 0.7239 2.2239 4.9906
Rh 2.1667 0.7413 3.2069
Rh 3.6115 2.2239 1.0577
Rh 2.2251 0.7413 7.2050
```

Diffraction record for Pm2PaAs3. The X-ray powder pattern is simulated, not measured: it uses the PBE geometry in Alexandria and a wavelength of 1.5418 Å.

Largest 10 diffraction maxima, by intensity, 10° ≤ 2θ ≤ 90°:
2theta  I (rel.)
30.2  100
43.3  75
71.3  34
26.1  28
53.7  26
79.4  25
51.2  14
62.8  12
69.2  6
85.3  5

Atomic structure:
```
24
Lattice="0.0000 5.9142 12.5414 4.1851 0.0000 12.5414 4.1851 5.9142 0.0000" Properties=species:S:1:pos:R:3 pbc="T T T"
Pm 1.0463 1.4785 1.0724
Pm 3.1388 4.4356 3.0994
Pm 1.0463 1.4785 5.1983
Pm 5.2314 7.3927 9.3701
Pm 3.1388 4.4356 15.7128
Pm 7.3239 10.3498 19.8846
Pm 5.2314 7.3927 21.9835
Pm 7.3239 10.3498 24.0105
Pa 3.1388 4.4356 7.3127
Pa 3.1388 4.4356 11.4995
Pa 5.2314 7.3927 13.5834
Pa 5.2314 7.3927 17.7702
As 3.1839 1.5411 7.2641
As 5.1454 4.4356 9.4061
As 3.0938 1.5411 11.5481
As 5.1863 4.4982 13.5348
As 7.2379 7.3927 15.6768
As 5.2765 4.4982 17.8188
As 3.0938 7.3301 7.2641
As 1.1323 4.4356 9.4061
As 3.1839 7.3301 11.5481
As 5.2765 10.2872 13.5348
As 3.2249 7.3927 15.6768
As 5.1863 10.2872 17.8188
```

Diffraction record for DyTh2Pd7. The X-ray powder pattern is simulated, not measured: it uses the PBE geometry in Alexandria and a wavelength of 1.5418 Å.

Largest 10 diffraction maxima, by intensity, 10° ≤ 2θ ≤ 90°:
2theta  I (rel.)
37.6  100
37.8  99
24.3  81
44.7  61
63.0  44
41.9  37
73.8  28
38.4  25
77.7  24
77.9  24

Atomic structure:
```
10
Lattice="0.0000 4.3082 8.5789 2.8710 0.0000 8.5789 2.8710 4.3082 0.0000" Properties=species:S:1:pos:R:3 pbc="T T T"
Dy 0.0000 0.0000 0.0000
Th 2.8710 4.3082 5.7029
Th 2.8710 4.3082 11.4549
Pd 1.4355 2.1541 1.4301
Pd 1.4355 2.1541 4.2894
Pd 1.4355 2.1541 7.1488
Pd 2.8710 4.3082 8.5789
Pd 4.3066 6.4623 10.0090
Pd 4.3066 6.4623 12.8683
Pd 4.3066 6.4623 15.7277
```

Diffraction record for Ac2PuTl3S6. The X-ray powder pattern is simulated, not measured: it uses the PBE geometry in Alexandria and a wavelength of 1.5418 Å.

Largest 10 diffraction maxima, by intensity, 10° ≤ 2θ ≤ 90°:
2theta  I (rel.)
28.7  100
25.0  74
40.3  38
41.7  37
24.0  29
48.7  28
66.3  20
51.4  20
47.5  16
49.2  13

Atomic structure:
```
12
Lattice="3.7557 -6.4992 0.0000 3.7557 6.4992 0.0000 -2.4978 0.0000 7.4201" Properties=species:S:1:pos:R:3 pbc="T T T"
Ac 3.7557 4.3303 0.0000
Ac 3.7557 -4.3303 0.0000
Pu 3.7557 0.0000 0.0000
Tl -1.2489 0.0000 3.7100
Tl 2.5068 2.1432 3.7100
Tl 2.5068 -2.1432 3.7100
S 0.0691 2.0525 5.9020
S 1.3794 0.0000 1.5500
S 0.0691 -2.0525 5.9020
S 4.9444 2.0525 1.5181
S 3.6342 0.0000 5.8701
S 4.9444 -2.0525 1.5181
```

Diffraction record for Sn. The X-ray powder pattern is simulated, not measured: it uses the PBE geometry in Alexandria and a wavelength of 1.5418 Å.

Largest 10 diffraction maxima, by intensity, 10° ≤ 2θ ≤ 90°:
2theta  I (rel.)
12.7  100
29.1  46
23.0  37
26.7  32
40.5  30
38.9  28
25.5  27
40.7  25
27.8  24
35.4  24

Atomic structure:
```
12
Lattice="4.6457 0.0000 0.0000 0.0000 8.1892 0.0000 0.0000 0.0000 13.3360" Properties=species:S:1:pos:R:3 pbc="T T T"
Sn 0.3920 1.4166 2.7626
Sn 0.3920 1.4166 10.5734
Sn 1.1628 0.8903 0.0000
Sn 1.1601 4.9849 6.6680
Sn 1.9308 5.5112 3.9054
Sn 1.9308 5.5112 9.4306
Sn 2.7149 2.6780 3.9054
Sn 2.7149 2.6780 9.4306
Sn 3.4856 3.2043 6.6680
Sn 3.4829 7.2989 0.0000
Sn 4.2536 6.7726 2.7626
Sn 4.2536 6.7726 10.5734
```